Theoretical X-ray diffraction stick pattern of Li4V3OF11 for Cu Ka, from a structure optimized by DFT (PBE+U).
Intensities are scaled so that the largest is 100.

Top 10 peaks for 2θ from 10° to 90°, low angle first:
- 2θ = 14.55°, d 6.089, intensity 100
- 2θ = 19.30°, d 4.599, intensity 39
- 2θ = 24.22°, d 3.675, intensity 43
- 2θ = 24.82°, d 3.587, intensity 30
- 2θ = 29.86°, d 2.993, intensity 36
- 2θ = 30.21°, d 2.958, intensity 39
- 2θ = 33.84°, d 2.649, intensity 22
- 2θ = 38.51°, d 2.338, intensity 32
- 2θ = 43.91°, d 2.062, intensity 24
- 2θ = 54.72°, d 1.677, intensity 22

Structure:
```
19
Lattice="5.5998 0.0000 0.0000 -0.8165 6.1491 0.0000 -1.2294 -1.6399 6.0891" Properties=species:S:1:pos:R:3 pbc="T T T"
Li 0.0000 0.0000 0.0000
Li 0.1911 0.5066 4.3627
Li 1.0093 3.5452 4.8996
Li 2.7528 1.3673 5.4564
V 1.0653 2.8533 1.3688
V 2.8827 0.0538 2.1659
V 3.9047 3.7867 3.0088
O 2.0106 4.3054 2.3351
F -1.2310 0.4961 5.8311
F -0.5805 4.1031 1.2701
F -0.0188 2.4970 3.1197
F -0.6390 4.4561 4.6263
F 1.1321 0.7592 1.4010
F 0.8927 1.7782 5.8549
F 2.1025 0.4032 3.9170
F 3.6837 0.0471 0.3801
F 3.1365 2.1169 1.9948
F 2.8853 3.0978 4.5884
F 4.6939 -0.3017 2.9711
```

***

Theoretical X-ray diffraction stick pattern of Li3Fe3B4O12 for Cu Ka, from a structure optimized by DFT (PBE+U).
Intensities are scaled so that the largest is 100.

Top 10 peaks for 2θ from 10° to 90°, low angle first:
- 2θ = 13.23°, d 6.694, intensity 97
- 2θ = 18.82°, d 4.714, intensity 34
- 2θ = 19.62°, d 4.525, intensity 47
- 2θ = 20.40°, d 4.353, intensity 100
- 2θ = 26.06°, d 3.419, intensity 55
- 2θ = 27.29°, d 3.268, intensity 50
- 2θ = 28.73°, d 3.108, intensity 38
- 2θ = 34.29°, d 2.615, intensity 54
- 2θ = 36.21°, d 2.481, intensity 69
- 2θ = 54.07°, d 1.696, intensity 27

Structure:
```
44
Lattice="5.2216 0.0000 0.0000 0.0000 9.0671 0.0000 -4.7254 0.0000 9.9242" Properties=species:S:1:pos:R:3 pbc="T T T"
Li 0.0000 1.9562 0.0000
Li -2.3627 7.1109 4.9621
Li -0.1309 2.0645 4.1639
Li -2.4936 7.0026 9.1260
Li 2.0063 2.4493 2.3389
Li -0.3564 6.6177 7.3010
Fe -2.1341 3.8337 9.6249
Fe 0.2286 5.2334 4.6628
Fe -0.6471 0.3827 7.1257
Fe 1.7156 8.6844 2.1636
Fe 1.9257 2.5342 6.4591
Fe 4.2884 6.5329 1.4971
B -0.7254 0.5347 2.1753
B -3.0881 8.5324 7.1374
B -2.1008 0.8309 9.6408
B 0.2619 8.2362 4.6787
B -0.6389 3.6315 6.9714
B 1.7238 5.4356 2.0093
B 2.7784 4.0573 4.4567
B 0.4157 5.0098 9.4188
O -2.7107 0.7950 6.8528
O -0.3480 8.2721 1.8907
O -1.0987 3.8530 4.2940
O -3.4614 5.2140 9.2561
O 0.3670 1.3686 2.2763
O -1.9957 7.6985 7.2384
O -1.9823 3.6015 7.3678
O 0.3804 5.4656 2.4058
O -2.7837 2.0548 9.8014
O -0.4210 7.0123 4.8393
O -0.3363 0.3222 5.1471
O 2.0263 8.7449 0.1850
O 2.3639 4.2704 1.6609
O 0.0013 4.7967 6.6230
O 0.0560 2.4136 6.8849
O 2.4187 6.6535 1.9228
O -0.8606 0.8211 9.0291
O 1.5021 8.2460 4.0670
O 1.9190 2.9346 4.5865
O -0.4437 6.1325 9.5486
O 3.2082 0.9111 2.3587
O 0.8455 8.1560 7.3208
O -0.1799 3.7721 9.5352
O 2.1828 5.2950 4.5731
```

***

Theoretical X-ray diffraction stick pattern of VOF for Cu Ka, from a structure optimized by DFT (PBE+U).
Intensities are scaled so that the largest is 100.

Top 10 peaks for 2θ from 10° to 90°, low angle first:
- 2θ = 15.33°, d 5.781, intensity 28
- 2θ = 19.21°, d 4.620, intensity 29
- 2θ = 31.45°, d 2.844, intensity 100
- 2θ = 32.12°, d 2.786, intensity 20
- 2θ = 37.70°, d 2.386, intensity 14
- 2θ = 38.99°, d 2.310, intensity 15
- 2θ = 44.82°, d 2.022, intensity 18
- 2θ = 52.40°, d 1.746, intensity 44
- 2θ = 53.28°, d 1.719, intensity 29
- 2θ = 62.80°, d 1.480, intensity 12

Structure:
```
18
Lattice="4.6201 2.6674 2.7865 -4.6201 2.6674 2.7865 0.0000 -5.3349 2.7865" Properties=species:S:1:pos:R:3 pbc="T T T"
V -2.5159 -2.4309 4.4031
V -3.3632 0.9634 3.9564
V 0.8473 -3.3943 3.9564
V -0.8473 3.3943 4.4031
V 3.3632 -0.9634 4.4031
V 2.5159 2.4309 3.9564
O -3.8883 -0.9709 4.6457
O -1.1033 -3.8528 3.7138
O -2.7849 2.8819 3.7138
O 2.7850 -2.8819 4.6457
O 1.1033 3.8528 4.6457
O 3.8883 0.9709 3.7138
F -1.8712 -0.1958 3.1994
F 1.1052 -1.5226 3.1994
F -0.7660 -1.7184 5.1600
F 0.7660 1.7184 3.1994
F -1.1052 1.5226 5.1600
F 1.8712 0.1958 5.1600
```

***

Theoretical X-ray diffraction stick pattern of AlMo3Se2ClO8 for Cu Ka, from a structure optimized by DFT (PBE+U).
Intensities are scaled so that the largest is 100.

Top 10 peaks for 2θ from 10° to 90°, low angle first:
- 2θ = 13.56°, d 6.531, intensity 50
- 2θ = 17.84°, d 4.972, intensity 46
- 2θ = 27.24°, d 3.274, intensity 38
- 2θ = 28.03°, d 3.183, intensity 57
- 2θ = 30.18°, d 2.961, intensity 41
- 2θ = 30.35°, d 2.945, intensity 38
- 2θ = 30.78°, d 2.905, intensity 100
- 2θ = 32.08°, d 2.790, intensity 57
- 2θ = 35.05°, d 2.560, intensity 52
- 2θ = 36.43°, d 2.466, intensity 49

Structure:
```
30
Lattice="6.5498 0.0000 0.0000 -0.4621 7.2583 0.0000 -0.6788 -2.7991 9.3169" Properties=species:S:1:pos:R:3 pbc="T T T"
Al 0.0000 0.0000 0.0000
Al 2.5298 1.9845 4.4715
Mo 2.1145 4.4142 9.1753
Mo 4.1186 -0.4983 6.8644
Mo 4.3429 4.5908 2.3131
Mo 4.0445 3.1304 6.8624
Mo 4.6069 0.9769 2.2904
Mo 5.8908 1.6913 4.6953
Se 0.1796 1.4902 8.3024
Se 0.8412 2.8830 1.5814
Se 1.2874 6.3088 2.9199
Se 1.2458 4.3532 6.6442
Cl 3.1388 0.6017 9.1775
Cl 4.8889 5.6977 4.6611
O -0.6076 0.4830 7.1292
O -0.2017 4.1909 1.9624
O 0.7761 -2.1007 8.4215
O 0.9838 2.3036 3.2592
O 1.0761 6.7609 1.2280
O 1.0618 1.3519 5.3851
O 2.2752 -1.2990 6.2682
O 2.3240 4.9833 2.6828
O 2.8779 0.3188 3.3962
O 2.5345 3.5757 5.4288
O 3.9714 1.3198 5.6316
O 4.1173 2.6997 3.4145
O 4.4244 -2.3044 8.0967
O 4.5466 6.4997 1.1412
O 5.4331 2.7720 8.4705
O 6.2409 1.6189 1.0585
```

***

Theoretical X-ray diffraction stick pattern of Zn2AgWO6 for Cu Ka, from a structure optimized by DFT (PBE+U).
Intensities are scaled so that the largest is 100.

Top 10 peaks for 2θ from 10° to 90°, low angle first:
- 2θ = 19.33°, d 4.593, intensity 36
- 2θ = 20.22°, d 4.393, intensity 35
- 2θ = 23.80°, d 3.739, intensity 53
- 2θ = 30.35°, d 2.945, intensity 100
- 2θ = 30.58°, d 2.923, intensity 96
- 2θ = 31.12°, d 2.873, intensity 70
- 2θ = 31.28°, d 2.859, intensity 70
- 2θ = 32.50°, d 2.755, intensity 67
- 2θ = 39.23°, d 2.296, intensity 33
- 2θ = 48.70°, d 1.870, intensity 41

Structure:
```
10
Lattice="5.0936 0.0000 0.0000 0.0123 5.5107 0.0000 2.4035 2.7125 4.5925" Properties=species:S:1:pos:R:3 pbc="T T T"
Zn 0.0000 0.0000 0.0000
Zn 1.7437 2.7777 0.0409
Ag 2.0804 5.5056 2.3110
W 4.6204 2.7495 2.3138
O 3.5046 6.8976 3.2419
O 3.5180 4.1389 3.2323
O 3.4795 2.7689 0.8229
O 5.7693 2.7452 3.7995
O 5.7294 1.3653 1.3832
O 5.7615 4.1095 1.3801
```

***

Theoretical X-ray diffraction stick pattern of Li5FeP3O11 for Cu Ka, from a structure optimized by DFT (PBE+U).
Intensities are scaled so that the largest is 100.

Top 10 peaks for 2θ from 10° to 90°, low angle first:
- 2θ = 10.46°, d 8.456, intensity 100
- 2θ = 18.54°, d 4.785, intensity 90
- 2θ = 19.13°, d 4.639, intensity 46
- 2θ = 22.04°, d 4.034, intensity 78
- 2θ = 22.71°, d 3.916, intensity 32
- 2θ = 26.66°, d 3.343, intensity 44
- 2θ = 31.75°, d 2.819, intensity 40
- 2θ = 34.38°, d 2.609, intensity 43
- 2θ = 35.49°, d 2.529, intensity 27
- 2θ = 40.16°, d 2.245, intensity 31

Structure:
```
40
Lattice="5.3650 0.0000 0.0000 0.6835 8.4982 0.0000 0.2176 0.9554 9.5699" Properties=species:S:1:pos:R:3 pbc="T T T"
Li 0.0935 0.3565 3.2931
Li 1.5310 6.0039 7.8418
Li 1.5277 3.8327 6.3902
Li 1.9925 5.8460 1.4996
Li 2.0959 3.5911 3.2987
Li 4.1702 5.8625 6.2712
Li 4.2736 3.6076 8.0703
Li 4.7384 5.6209 3.1797
Li 4.7351 3.4497 1.7281
Li 6.1726 9.0971 6.2768
Fe 0.0000 0.0000 0.0000
Fe 2.7913 0.4777 4.7850
P 1.4587 2.8005 0.2252
P 2.1066 6.4406 4.6383
P 2.5673 0.5474 1.7838
P 3.6988 8.9063 7.7862
P 4.1595 3.0131 4.9316
P 4.8074 6.6532 9.3447
O 0.8382 7.3242 9.3966
O 1.4515 7.8457 4.8487
O 1.3778 5.6106 3.5465
O 1.4336 3.8201 1.3758
O 1.5767 0.9161 7.7864
O 2.1344 8.0367 1.4901
O 2.1369 5.6921 6.0050
O 2.1813 4.2489 8.4441
O 2.1664 1.3160 3.0659
O 2.6831 2.6977 5.3580
O 2.5583 1.6738 0.6196
O 3.7078 7.7798 8.9503
O 3.5830 6.7559 4.2119
O 4.0997 8.1377 6.5040
O 4.0848 5.2047 1.1258
O 4.1292 3.7616 3.5649
O 4.1317 1.4170 8.0798
O 4.6893 8.5376 1.7835
O 4.8325 5.6336 8.1941
O 4.8883 3.8430 6.0234
O 4.8146 1.6080 4.7212
O 5.4279 2.1295 0.1733
```

***

Theoretical X-ray diffraction stick pattern of K2MoO2F5 for Cu Ka, from a structure optimized by DFT (PBE+U).
Intensities are scaled so that the largest is 100.

Top 10 peaks for 2θ from 10° to 90°, low angle first:
- 2θ = 16.41°, d 5.401, intensity 60
- 2θ = 17.51°, d 5.064, intensity 80
- 2θ = 18.83°, d 4.712, intensity 50
- 2θ = 20.00°, d 4.440, intensity 100
- 2θ = 26.23°, d 3.398, intensity 50
- 2θ = 27.58°, d 3.235, intensity 80
- 2θ = 28.44°, d 3.138, intensity 62
- 2θ = 29.00°, d 3.079, intensity 29
- 2θ = 40.55°, d 2.224, intensity 44
- 2θ = 40.76°, d 2.214, intensity 29

Structure:
```
20
Lattice="4.4495 -4.4489 0.0000 4.4495 4.4489 0.0000 -0.9323 0.0000 9.4235" Properties=species:S:1:pos:R:3 pbc="T T T"
K 0.0000 0.0000 0.0000
K 2.3148 2.1987 2.8101
K 5.6520 2.1987 6.6134
K 4.4495 -0.1108 0.0000
Mo 2.2605 -2.3099 2.2113
Mo 5.7063 -2.3099 7.2122
O 3.9834 4.3707 4.7118
O 3.9834 0.8012 4.7118
O 2.0812 -2.4520 3.9291
O 5.8856 -2.4520 5.4944
F 3.2072 2.1817 7.6745
F 1.2553 0.1853 7.6435
F 4.7596 2.1817 1.7491
F 2.2886 -0.3209 2.0704
F 2.4381 -2.1566 0.1508
F 6.7115 0.1853 1.7801
F 5.6782 -0.3209 7.3531
F 3.7209 -2.3357 7.3265
F 4.2459 -2.3357 2.0970
F 5.5287 -2.1566 9.2728
```

***

Theoretical X-ray diffraction stick pattern of Li5Fe7O3F13 for Cu Ka, from a structure optimized by DFT (PBE+U).
Intensities are scaled so that the largest is 100.

Top 10 peaks for 2θ from 10° to 90°, low angle first:
- 2θ = 17.42°, d 5.092, intensity 100
- 2θ = 17.63°, d 5.030, intensity 81
- 2θ = 33.60°, d 2.667, intensity 28
- 2θ = 33.76°, d 2.655, intensity 50
- 2θ = 33.93°, d 2.642, intensity 21
- 2θ = 40.96°, d 2.203, intensity 95
- 2θ = 41.26°, d 2.188, intensity 46
- 2θ = 59.26°, d 1.559, intensity 27
- 2θ = 59.84°, d 1.546, intensity 30
- 2θ = 74.55°, d 1.273, intensity 16

Structure:
```
28
Lattice="5.3318 -3.1315 0.0000 5.3318 3.1315 0.0000 -3.5772 0.0000 10.1775" Properties=species:S:1:pos:R:3 pbc="T T T"
Li 0.0000 0.0000 0.0000
Li -0.1082 0.0000 4.1409
Li 3.5850 0.0000 5.1532
Li 5.3597 0.0000 2.1327
Li 3.5441 0.0000 9.2326
Fe 2.7127 1.6266 2.1736
Fe -1.7976 0.0000 7.1845
Fe 0.8885 1.5766 7.1729
Fe 0.0184 0.0000 9.7655
Fe 0.8885 -1.5766 7.1729
Fe 2.7127 -1.6266 2.1736
Fe 7.1818 0.0000 4.5438
O -0.0110 0.0000 6.2865
O 8.7387 0.0000 3.2970
O 7.0790 0.0000 8.1171
F 2.6676 1.5381 5.8491
F 4.4084 1.4638 0.7897
F 1.8922 0.0000 0.9279
F 3.5930 0.0000 3.1859
F 1.7532 0.0000 8.5647
F 4.4436 1.5900 8.6079
F 6.2016 1.5007 3.3132
F 4.4084 -1.4638 0.7897
F 2.6676 -1.5381 5.8491
F 7.0368 0.0000 0.9699
F 5.4492 0.0000 5.7394
F 6.2016 -1.5007 3.3132
F 4.4436 -1.5900 8.6079
```